Structure and calculated powder XRD pattern of Cs2InH6Au (a crystal structure in Alexandria, relaxed with PBE; Cu Kα (λ = 1.5418 Å)).
Kinematic intensities with the Lorentz-polarization factor, no thermal factor.

Peak list (6 most intense, 2θ = 10–90°, by angle)
2θ/deg, Rel. int.
28.1, 100.0
31.2, 38.0
35.1, 14.3
44.7, 14.5
47.7, 23.1
53.7, 32.9

Atomic structure:
a b c (Å): 6.5195 6.5195 6.5195
angles (deg): 127.86 127.86 76.86
Fractional positions:
Cs (0.2500, 0.7500, 0.5000)
Cs (0.7500, 0.2500, 0.5000)
In (0.0000, 0.0000, 0.0000)
H (0.1892, 0.1892, 0.0000)
H (0.2767, 0.2767, 0.5534)
H (0.2767, 0.7233, 0.0000)
H (0.7233, 0.2767, 0.0000)
H (0.7233, 0.7233, 0.4466)
H (0.8108, 0.8108, 0.0000)
Au (0.5000, 0.5000, 0.0000)

***

Structure and calculated powder XRD pattern of La5NdY5 (a crystal structure in Alexandria, relaxed with PBE; Cu Kα (λ = 1.5418 Å)).
Kinematic intensities with the Lorentz-polarization factor, no thermal factor.

Peak list (6 most intense, 2θ = 10–90°, by angle)
2θ/deg, Rel. int.
27.8, 100.0
28.6, 92.0
29.6, 33.6
34.3, 29.0
36.5, 29.1
50.2, 39.4

Atomic structure:
a b c (Å): 6.2458 6.2458 11.9548
angles (deg): 90.00 90.00 120.00
Fractional positions:
La (0.0000, 0.0000, 0.0000)
La (0.3333, 0.6667, 0.3158)
La (0.3333, 0.6667, 0.6842)
La (0.6667, 0.3333, 0.1493)
La (0.6667, 0.3333, 0.8507)
Nd (0.3333, 0.6667, 0.0000)
Y (0.0000, 0.0000, 0.2619)
Y (0.0000, 0.0000, 0.7381)
Y (0.3318, 0.1659, 0.5000)
Y (0.8341, 0.1659, 0.5000)
Y (0.8341, 0.6682, 0.5000)

***

Structure and calculated powder XRD pattern of Er2Ga7Ag12 (a crystal structure in Alexandria, relaxed with PBE; Cu Kα (λ = 1.5418 Å)).
Kinematic intensities with the Lorentz-polarization factor, no thermal factor.

Peak list (6 most intense, 2θ = 10–90°, by angle)
2θ/deg, Rel. int.
36.6, 100.0
40.4, 70.9
55.6, 21.4
58.0, 9.1
70.9, 18.6
73.0, 23.1

Atomic structure:
a b c (Å): 11.8242 11.8242 3.1804
angles (deg): 90.00 90.00 120.00
Fractional positions:
Er (0.3333, 0.6667, 0.2479)
Er (0.6667, 0.3333, 0.7521)
Ga (0.0000, 0.0000, 0.5000)
Ga (0.1367, 0.4242, 0.7483)
Ga (0.2875, 0.8633, 0.7483)
Ga (0.4242, 0.2875, 0.2517)
Ga (0.5758, 0.7125, 0.7483)
Ga (0.7125, 0.1367, 0.2517)
Ga (0.8633, 0.5758, 0.2517)
Ag (0.0762, 0.8307, 0.2466)
Ag (0.0779, 0.6197, 0.7501)
Ag (0.1693, 0.2455, 0.2466)
Ag (0.2455, 0.0762, 0.7534)
Ag (0.3803, 0.4582, 0.7501)
Ag (0.4582, 0.0779, 0.2499)
Ag (0.5418, 0.9221, 0.7501)
Ag (0.6197, 0.5418, 0.2499)
Ag (0.7545, 0.9238, 0.2466)
Ag (0.8307, 0.7545, 0.7534)
Ag (0.9221, 0.3803, 0.2499)
Ag (0.9238, 0.1693, 0.7534)